No. 1
Structure and calculated powder XRD pattern of BaHS2O3 (a crystal structure in the Materials Project, relaxed with GGA-PBE; λ = 1.5418 Å (Cu Kα)).
Neutral-atom scattering factors, no anomalous dispersion.

Atomic structure:
```
data_BaHS2O3
_chemical_formula_sum 'Ba8 H8 S16 O24'
_space_group_name_H-M_alt 'P b c n'
_space_group_IT_number 60
_cell_length_a 20.664
_cell_length_b 7.154
_cell_length_c 7.443
_cell_angle_alpha 90.00
_cell_angle_beta 90.00
_cell_angle_gamma 90.00
loop_
_space_group_symop_operation_xyz
'x,y,z'
'-x,-y,-z'
'-x+1/2,-y+1/2,z+1/2'
'x+1/2,y+1/2,-z+1/2'
'x+1/2,-y+1/2,-z'
'-x+1/2,y+1/2,z'
'-x,y,-z+1/2'
'x,-y,z+1/2'
loop_
_atom_site_label
_atom_site_fract_x
_atom_site_fract_y
_atom_site_fract_z
Ba1 0.167 0.223 0.044
H1 0.025 0.160 0.074
S1 0.085 0.388 0.673
S2 0.159 0.270 0.547
O1 0.137 0.138 0.403
O2 0.199 0.160 0.679
O3 0.203 0.415 0.465
```

Most intense lines, 10 to 90 degrees two-theta, sorted by position:
2θ = 17.16°, 5.166 Å, intensity 78, (4 0 0)
2θ = 23.91°, 3.721 Å, intensity 51, (0 0 2)
2θ = 24.35°, 3.655 Å, intensity 100, (1 0 2)
2θ = 24.89°, 3.577 Å, intensity 66, (0 2 0)
2θ = 25.87°, 3.444 Å, intensity 52, (6 0 0)
2θ = 35.52°, 2.528 Å, intensity 52, (6 0 2)
2θ = 36.21°, 2.481 Å, intensity 51, (6 2 0)
2θ = 39.01°, 2.309 Å, intensity 49, (8 1 1)


No. 2
Structure and calculated powder XRD pattern of BaH2S4O6 (a crystal structure in the Materials Project, relaxed with GGA-PBE; λ = 1.5418 Å (Cu Kα)).
Neutral-atom scattering factors, no anomalous dispersion.

Atomic structure:
```
data_BaH2S4O6
_chemical_formula_sum 'Ba4 H8 S16 O24'
_space_group_name_H-M_alt 'P 1 21/c 1'
_space_group_IT_number 14
_cell_length_a 5.792
_cell_length_b 9.784
_cell_length_c 18.442
_cell_angle_alpha 90.00
_cell_angle_beta 95.47
_cell_angle_gamma 90.00
loop_
_space_group_symop_operation_xyz
'x,y,z'
'-x,-y,-z'
'-x,y+1/2,-z+1/2'
'x,-y+1/2,z+1/2'
loop_
_atom_site_label
_atom_site_fract_x
_atom_site_fract_y
_atom_site_fract_z
Ba1 0.243 0.091 0.361
H1 0.017 0.127 0.840
H2 0.251 0.056 0.629
S1 0.183 0.601 0.446
S2 0.223 0.709 0.008
S3 0.302 0.701 0.281
S4 0.440 0.602 0.381
O1 0.017 0.185 0.476
O2 0.115 0.615 0.246
O3 0.220 0.662 0.799
O4 0.316 0.608 0.961
O5 0.381 0.735 0.074
O6 0.486 0.200 0.256
```

Most intense lines, 10 to 90 degrees two-theta, sorted by position:
2θ = 10.24°, 8.634 Å, intensity 44, (0 1 1)
2θ = 17.37°, 5.106 Å, intensity 51, (1 0 -2)
2θ = 18.77°, 4.727 Å, intensity 95, (0 2 1)
2θ = 18.93°, 4.688 Å, intensity 100, (1 0 2)
2θ = 25.32°, 3.518 Å, intensity 35, (1 1 -4)
2θ = 26.63°, 3.347 Å, intensity 26, (0 2 4)
2θ = 31.49°, 2.841 Å, intensity 35, (1 1 5)
2θ = 40.88°, 2.208 Å, intensity 25, (1 4 -2)


No. 3
Structure and calculated powder XRD pattern of BaH2S2O8 (a crystal structure in the Materials Project, relaxed with GGA-PBE; λ = 1.5418 Å (Cu Kα)).
Neutral-atom scattering factors, no anomalous dispersion.

Atomic structure:
```
data_BaH2S2O8
_chemical_formula_sum 'Ba4 H8 S8 O32'
_space_group_name_H-M_alt 'P 21 21 21'
_space_group_IT_number 19
_cell_length_a 4.791
_cell_length_b 10.796
_cell_length_c 13.367
_cell_angle_alpha 90.00
_cell_angle_beta 90.00
_cell_angle_gamma 90.00
loop_
_space_group_symop_operation_xyz
'x,y,z'
'-x+1/2,-y,z+1/2'
'x+1/2,-y+1/2,-z'
'-x,y+1/2,-z+1/2'
loop_
_atom_site_label
_atom_site_fract_x
_atom_site_fract_y
_atom_site_fract_z
Ba1 0.007 0.063 0.336
H1 0.057 0.554 0.869
H2 0.213 0.240 0.090
S1 0.036 0.421 0.437
S2 0.062 0.215 0.815
O1 0.016 0.324 0.751
O2 0.023 0.941 0.957
O3 0.026 0.796 0.097
O4 0.059 0.601 0.727
O5 0.077 0.016 0.130
O6 0.086 0.741 0.581
O7 0.131 0.560 0.938
O8 0.145 0.802 0.343
```

Most intense lines, 10 to 90 degrees two-theta, sorted by position:
2θ = 15.59°, 5.683 Å, intensity 62, (0 1 2)
2θ = 24.30°, 3.663 Å, intensity 76, (1 1 2)
2θ = 25.64°, 3.475 Å, intensity 78, (0 3 1)
2θ = 25.74°, 3.461 Å, intensity 100, (1 2 1)
2θ = 27.95°, 3.192 Å, intensity 71, (0 1 4)
2θ = 28.58°, 3.123 Å, intensity 83, (1 1 3)
2θ = 33.90°, 2.644 Å, intensity 51, (0 4 1)
2θ = 37.54°, 2.396 Å, intensity 57, (2 0 0)


No. 4
Structure and calculated powder XRD pattern of BaTeH3S4O6 (a crystal structure in the Materials Project, relaxed with GGA-PBE; λ = 1.5418 Å (Cu Kα)).
Neutral-atom scattering factors, no anomalous dispersion.

Atomic structure:
```
data_BaTeH3S4O6
_chemical_formula_sum 'Ba4 Te4 H12 S16 O24'
_space_group_name_H-M_alt 'P 1 21/c 1'
_space_group_IT_number 14
_cell_length_a 11.037
_cell_length_b 5.364
_cell_length_c 21.542
_cell_angle_alpha 90.00
_cell_angle_beta 102.03
_cell_angle_gamma 90.00
loop_
_space_group_symop_operation_xyz
'x,y,z'
'-x,-y,-z'
'-x,y+1/2,-z+1/2'
'x,-y+1/2,z+1/2'
loop_
_atom_site_label
_atom_site_fract_x
_atom_site_fract_y
_atom_site_fract_z
Ba1 0.143 0.170 0.410
Te1 0.401 0.513 0.688
H1 0.018 0.602 0.715
H2 0.085 0.141 0.650
H3 0.416 0.206 0.471
S1 0.173 0.630 0.546
S2 0.281 0.595 0.319
S3 0.333 0.701 0.102
S4 0.461 0.733 0.361
O1 0.075 0.630 0.583
O2 0.145 0.701 0.991
O3 0.203 0.716 0.359
O4 0.204 0.123 0.028
O5 0.252 0.671 0.253
O6 0.282 0.178 0.828
```

Most intense lines, 10 to 90 degrees two-theta, sorted by position:
2θ = 10.44°, 8.474 Å, intensity 38, (1 0 -2)
2θ = 12.91°, 6.858 Å, intensity 100, (1 0 2)
2θ = 16.83°, 5.269 Å, intensity 76, (2 0 -2)
2θ = 19.59°, 4.533 Å, intensity 28, (1 1 -2)
2θ = 21.42°, 4.148 Å, intensity 45, (1 1 -3)
2θ = 26.87°, 3.318 Å, intensity 60, (0 1 5)
2θ = 28.30°, 3.154 Å, intensity 48, (1 0 6)
2θ = 29.46°, 3.032 Å, intensity 37, (3 1 -1)


No. 5
Structure and calculated powder XRD pattern of Ba8Sb4H2O (a crystal structure in the Materials Project, relaxed with GGA-PBE; λ = 1.5418 Å (Cu Kα)).
Neutral-atom scattering factors, no anomalous dispersion.

Atomic structure:
```
data_Ba8Sb4H2O
_chemical_formula_sum 'Ba16 Sb8 H4 O2'
_space_group_name_H-M_alt 'I 4/m m m'
_space_group_IT_number 139
_space_group_name_Hall '-I 4 2'
_cell_length_a 5.263
_cell_length_b 5.263
_cell_length_c 37.949
_cell_angle_alpha 90.00
_cell_angle_beta 90.00
_cell_angle_gamma 90.00
loop_
_atom_site_label
_atom_site_fract_x
_atom_site_fract_y
_atom_site_fract_z
Ba1 0.000 0.000 0.085
Ba2 0.000 0.000 0.341
Ba3 0.000 0.500 0.000
Ba4 0.000 0.500 0.250
Sb1 0.000 0.000 0.180
Sb2 0.000 0.000 0.433
H1 0.000 0.000 0.271
O1 0.000 0.000 0.000
```

Most intense lines, 10 to 90 degrees two-theta, sorted by position:
2θ = 25.72°, 3.464 Å, intensity 98, (1 1 4)
2θ = 28.22°, 3.162 Å, intensity 37, (0 0 12)
2θ = 30.53°, 2.928 Å, intensity 100, (1 1 8)
2θ = 34.07°, 2.631 Å, intensity 72, (2 0 0)
2θ = 44.81°, 2.023 Å, intensity 42, (2 0 12)
2θ = 48.95°, 1.861 Å, intensity 25, (2 2 0)
2θ = 56.11°, 1.639 Å, intensity 22, (3 1 4)
2θ = 58.80°, 1.570 Å, intensity 31, (3 1 8)